[1]
Structure and simulated XRD peak list of Nd7Tl5 (a GGA-PBE-relaxed structure; copper Kα).
Kinematic intensities with the Lorentz-polarization factor, no thermal factor.

```
data_Nd7Tl5
_chemical_formula_sum 'Nd7 Tl5'
_cell_length_a 6.4487
_cell_length_b 6.4487
_cell_length_c 14.4342
_cell_angle_alpha 109.75
_cell_angle_beta 109.75
_cell_angle_gamma 45.14
_space_group_name_H-M_alt 'P 1'
_space_group_IT_number 1
_space_group_name_Hall 'P 1'
loop_
_atom_site_label
_atom_site_type_symbol
_atom_site_fract_x
_atom_site_fract_y
_atom_site_fract_z
_atom_site_occupancy
Nd1 Nd 0.0000 0.0000 0.0000 1
Nd2 Nd 0.1712 0.1712 0.5379 1
Nd3 Nd 0.2313 0.2313 0.8195 1
Nd4 Nd 0.4825 0.4825 0.7150 1
Nd5 Nd 0.5175 0.5175 0.2850 1
Nd6 Nd 0.7687 0.7687 0.1805 1
Nd7 Nd 0.8288 0.8288 0.4621 1
Tl1 Tl 0.1990 0.1990 0.2984 1
Tl2 Tl 0.3438 0.3438 0.0578 1
Tl3 Tl 0.5000 0.5000 0.5000 1
Tl4 Tl 0.6562 0.6562 0.9422 1
Tl5 Tl 0.8010 0.8010 0.7016 1
```

Top 10 peaks for 10 to 90 degrees two-theta, in order of falling intensity:
2θ/deg  Rel. int.
36.29  100
28.91  81
35.60  68
29.18  66
32.83  65
30.71  60
33.99  41
46.65  33
60.51  30
26.54  30

[2]
Structure and simulated XRD peak list of K3Sc3VS8 (a GGA-PBE-relaxed structure; copper Kα).
Kinematic intensities with the Lorentz-polarization factor, no thermal factor.

```
data_K3Sc3VS8
_chemical_formula_sum 'K3 Sc3 V1 S8'
_cell_length_a 8.6204
_cell_length_b 8.6204
_cell_length_c 8.6204
_cell_angle_alpha 51.06
_cell_angle_beta 51.06
_cell_angle_gamma 51.06
_space_group_name_H-M_alt 'P 1'
_space_group_IT_number 1
_space_group_name_Hall 'P 1'
loop_
_atom_site_label
_atom_site_type_symbol
_atom_site_fract_x
_atom_site_fract_y
_atom_site_fract_z
_atom_site_occupancy
K1 K 0.0000 0.5000 0.5000 1
K2 K 0.5000 0.0000 0.5000 1
K3 K 0.5000 0.5000 0.0000 1
Sc1 Sc 0.0000 0.0000 0.5000 1
Sc2 Sc 0.0000 0.5000 0.0000 1
Sc3 Sc 0.5000 0.0000 0.0000 1
V1 V 0.5000 0.5000 0.5000 1
S1 S 0.2309 0.2309 0.2309 1
S2 S 0.2454 0.7191 0.7191 1
S3 S 0.2809 0.2809 0.7546 1
S4 S 0.2809 0.7546 0.2809 1
S5 S 0.7191 0.2454 0.7191 1
S6 S 0.7191 0.7191 0.2454 1
S7 S 0.7546 0.2809 0.2809 1
S8 S 0.7691 0.7691 0.7691 1
```

Top 10 peaks for 10 to 90 degrees two-theta, in order of falling intensity:
2θ/deg  Rel. int.
32.07  100
11.84  42
49.04  30
42.78  28
39.70  14
59.80  13
14.32  11
80.88  11
53.18  8
67.07  6

[3]
Structure and simulated XRD peak list of Ac2La3Sm (a GGA-PBE-relaxed structure; copper Kα).
Kinematic intensities with the Lorentz-polarization factor, no thermal factor.

```
data_Ac2La3Sm
_chemical_formula_sum 'Ac4 La6 Sm2'
_cell_length_a 8.4997
_cell_length_b 8.4997
_cell_length_c 11.9870
_cell_angle_alpha 114.99
_cell_angle_beta 114.99
_cell_angle_gamma 37.04
_space_group_name_H-M_alt 'P 1'
_space_group_IT_number 1
_space_group_name_Hall 'P 1'
loop_
_atom_site_label
_atom_site_type_symbol
_atom_site_fract_x
_atom_site_fract_y
_atom_site_fract_z
_atom_site_occupancy
Ac1 Ac 0.0367 0.0367 0.3692 1
Ac2 Ac 0.2914 0.2914 0.6303 1
Ac3 Ac 0.7086 0.7086 0.3697 1
Ac4 Ac 0.9633 0.9633 0.6308 1
La1 La 0.1248 0.1248 0.1208 1
La2 La 0.2093 0.2093 0.8800 1
La3 La 0.4542 0.4542 0.1189 1
La4 La 0.5458 0.5458 0.8811 1
La5 La 0.7907 0.7907 0.1200 1
La6 La 0.8752 0.8752 0.8792 1
Sm1 Sm 0.3749 0.3749 0.3724 1
Sm2 Sm 0.6251 0.6251 0.6276 1
```

Top 10 peaks for 10 to 90 degrees two-theta, in order of falling intensity:
2θ/deg  Rel. int.
28.75  100
33.38  34
47.79  31
33.19  17
56.60  15
56.79  15
56.89  15
77.23  9
59.47  6
59.60  6

[4]
Structure and simulated XRD peak list of DyTh4Sn4 (a GGA-PBE-relaxed structure; copper Kα).
Kinematic intensities with the Lorentz-polarization factor, no thermal factor.

```
data_DyTh4Sn4
_chemical_formula_sum 'Dy2 Th8 Sn8'
_cell_length_a 9.1988
_cell_length_b 9.1988
_cell_length_c 6.3099
_cell_angle_alpha 90.00
_cell_angle_beta 90.00
_cell_angle_gamma 90.00
_space_group_name_H-M_alt 'P 1'
_space_group_IT_number 1
_space_group_name_Hall 'P 1'
loop_
_atom_site_label
_atom_site_type_symbol
_atom_site_fract_x
_atom_site_fract_y
_atom_site_fract_z
_atom_site_occupancy
Dy1 Dy 0.2500 0.2500 0.2500 1
Dy2 Dy 0.7500 0.7500 0.7500 1
Th1 Th 0.0830 0.8235 0.6004 1
Th2 Th 0.1765 0.5830 0.1004 1
Th3 Th 0.3235 0.9170 0.1004 1
Th4 Th 0.4170 0.6765 0.6004 1
Th5 Th 0.5830 0.3235 0.3996 1
Th6 Th 0.6765 0.0830 0.8996 1
Th7 Th 0.8235 0.4170 0.8996 1
Th8 Th 0.9170 0.1765 0.3996 1
Sn1 Sn 0.0489 0.1366 0.8858 1
Sn2 Sn 0.1366 0.4511 0.6142 1
Sn3 Sn 0.3634 0.0489 0.6142 1
Sn4 Sn 0.4511 0.3634 0.8858 1
Sn5 Sn 0.5489 0.6366 0.1142 1
Sn6 Sn 0.6366 0.9511 0.3858 1
Sn7 Sn 0.8634 0.5489 0.3858 1
Sn8 Sn 0.9511 0.8634 0.1142 1
```

Top 10 peaks for 10 to 90 degrees two-theta, in order of falling intensity:
2θ/deg  Rel. int.
30.74  100
29.94  93
30.93  87
32.46  72
33.93  67
35.87  60
38.04  44
52.78  35
61.76  28
67.66  25